The following is a simulated powder XRD pattern of TcSO6F. It was derived from a crystal structure in OQMD, relaxed with PBE, using Cu Kα (λ = 1.5418 Å).
Neutral-atom scattering factors, no anomalous dispersion.

The 12 most intense peaks (10° ≤ 2θ ≤ 80°), low angle first:
2theta, d (Å), I (rel.)
15.32, 5.784, 408
17.59, 5.042, 852
19.50, 4.552, 521
21.32, 4.167, 369
22.72, 3.914, 482
23.19, 3.835, 502
25.00, 3.561, 656
25.87, 3.444, 870
26.24, 3.397, 1000
29.41, 3.037, 366
34.03, 2.635, 457
43.75, 2.069, 362

Crystal structure
```
36
Lattice="6.6489 0.0000 0.0000 0.0000 7.8282 0.0000 -1.1427 0.0000 8.5820" Properties=species:S:1:pos:R:3 pbc="T T T"
Tc 1.3501 1.2275 1.3732
Tc 0.7787 2.6866 5.6642
Tc 4.7275 5.1416 2.9178
Tc 4.1561 6.6007 7.2087
S 2.0001 5.7528 4.8107
S 2.5715 5.9895 0.5197
S 2.9347 1.8387 8.0623
S 3.5061 2.0754 3.7713
O -0.0141 0.8205 2.3014
O -0.5855 3.0936 6.5924
O -0.2298 0.9341 8.3343
O 0.3416 2.9800 4.0433
O 0.8943 0.9942 5.7682
O 1.4656 2.9199 1.4772
O 1.4109 4.8510 5.7881
O 1.9823 6.8913 1.4972
O 2.5428 5.1096 3.6265
O 1.9714 6.6327 7.9175
O 2.6436 1.0535 3.1837
O 2.0722 2.8606 7.4747
O 3.4340 4.9676 1.1073
O 2.8626 6.7747 5.3983
O 3.5348 1.1955 0.6645
O 2.9634 2.7186 4.9555
O 3.5239 0.9369 7.0848
O 4.0953 2.9772 2.7938
O 4.0405 4.9083 7.1047
O 4.6119 6.8340 2.8137
O 5.1646 4.8482 4.5387
O 5.7360 6.8941 0.2477
O 6.0917 4.7346 1.9896
O 5.5203 7.0076 6.2806
F 0.2247 5.1674 8.5385
F 0.7960 6.5748 4.2475
F 4.7102 1.2533 4.3345
F 5.2815 2.6608 0.0435
```


The following is a simulated powder XRD pattern of Zn3Sb4O6F6. It was derived from a crystal structure in OQMD, relaxed with PBE, using Cu Kα (λ = 1.5418 Å).
Neutral-atom scattering factors, no anomalous dispersion.

The 12 most intense peaks (10° ≤ 2θ ≤ 80°), low angle first:
2theta, d (Å), I (rel.)
26.93, 3.311, 1000
31.19, 2.868, 180
34.98, 2.565, 469
38.45, 2.341, 129
47.56, 1.912, 347
50.31, 1.814, 253
52.95, 1.729, 110
55.50, 1.656, 120
62.74, 1.481, 193
67.31, 1.391, 124
69.54, 1.352, 149
76.04, 1.252, 102

Crystal structure
```
19
Lattice="-4.0555 4.0555 4.0555 4.0555 -4.0555 4.0555 4.0555 4.0555 -4.0555" Properties=species:S:1:pos:R:3 pbc="T T T"
Zn 4.0555 0.0000 0.0000
Zn 0.0000 4.0555 0.0000
Zn 0.0000 0.0000 4.0555
Sb 1.3273 1.3273 -1.3273
Sb 1.3273 -1.3273 1.3273
Sb -1.3273 1.3273 1.3273
Sb 2.7282 2.7282 2.7282
O 2.0327 0.0000 0.0000
O 6.0783 0.0000 0.0000
O 0.0000 2.0327 0.0000
O 0.0000 0.0000 2.0327
O 0.0000 6.0783 0.0000
O 0.0000 0.0000 6.0783
F 4.0555 2.0278 0.0000
F 4.0555 0.0000 2.0278
F 2.0278 4.0555 0.0000
F 2.0278 0.0000 4.0555
F 0.0000 4.0555 2.0278
F 0.0000 2.0278 4.0555
```